# Li2Hg4Pb
Simulated powder XRD pattern, λ = 1.5418 Å (Cu Kα). Input: the GGA-PBE geometry in Alexandria.

Structural model:
```
data_Li2Hg4Pb
_chemical_formula_sum 'Li4 Hg8 Pb2'
_cell_length_a 3.3264
_cell_length_b 4.8499
_cell_length_c 20.3033
_cell_angle_alpha 90.00
_cell_angle_beta 90.00
_cell_angle_gamma 90.00
_space_group_name_H-M_alt 'I m m m'
_space_group_IT_number 71
_space_group_name_Hall '-I 2 2'
loop_
_atom_site_label
_atom_site_type_symbol
_atom_site_fract_x
_atom_site_fract_y
_atom_site_fract_z
Li1 Li 0.0000 0.0000 0.1962
Hg1 Hg 0.0000 0.0000 0.3302
Hg2 Hg 0.0000 0.5000 0.4197
Pb1 Pb 0.0000 0.5000 0.0000
```

Top 10 peaks for 10° ≤ 2θ ≤ 80°, low angle first:
(1 0 1), 2θ 27.2, d 3.283, rel. 23; (0 1 5), 2θ 28.7, d 3.113, rel. 100; (1 0 3), 2θ 29.9, d 2.985, rel. 52; (1 1 2), 2θ 33.8, d 2.648, rel. 94; (0 1 7), 2θ 36.1, d 2.489, rel. 53; (0 2 0), 2θ 37.1, d 2.425, rel. 47; (1 1 6), 2θ 42.4, d 2.131, rel. 45; (1 2 3), 2θ 48.4, d 1.882, rel. 28; (1 0 9), 2θ 48.8, d 1.867, rel. 19; (2 1 5), 2θ 63.4, d 1.467, rel. 22